The following is a calculated powder X-ray diffraction pattern of CaNi5H. It was derived from a DFT-relaxed cell (PBE, the Materials Project), using Cu Kα X-rays.
Kinematic intensities with the Lorentz-polarization factor, no thermal factor.

Largest 12 diffraction maxima, in order of rising 2θ, 2θ = 10–90°:
19.91°, d 4.460, I 37.3
20.70°, d 4.292, I 39.4
35.32°, d 2.541, I 16.4
40.45°, d 2.230, I 25.1
42.11°, d 2.146, I 22.8
42.45°, d 2.129, I 100.0
43.65°, d 2.074, I 48.7
46.55°, d 1.951, I 47.8
46.93°, d 1.936, I 21.2
48.41°, d 1.880, I 70.1
70.05°, d 1.343, I 20.1
74.69°, d 1.271, I 24.2

Crystal structure
```
data_CaNi5H
_symmetry_space_group_name_H-M 'C m m m'
_symmetry_Int_Tables_number 65
_symmetry_space_group_name_Hall '-C 2 2'
_cell_length_a 4.896
_cell_length_b 8.920
_cell_length_c 3.902
_cell_angle_alpha 90.00
_cell_angle_beta 90.00
_cell_angle_gamma 90.00
loop_
_atom_site_label
_atom_site_fract_x
_atom_site_fract_y
_atom_site_fract_z
Ca1 0.000 0.000 0.000
Ni1 0.000 0.319 0.000
Ni2 0.000 0.500 0.500
Ni3 0.250 0.250 0.500
H1 0.000 0.500 0.000
```